CsRb2SiF7: calculated PXRD pattern (CuKα), based on a cell relaxed with GGA-PBE.
Neutral-atom scattering factors, no anomalous dispersion.

Atomic structure:
a b c (Å): 8.222 8.222 5.951
angles (deg): 90.00 90.00 90.00
Space group P4/mbm (No. 127)
Symmetry-distinct sites (fractional):
Cs: 0.000 0.000 0.000 x2
Rb: 0.196 0.304 0.500 x4
Si: 0.000 0.500 0.000 x2
F: 0.000 0.000 0.500 x2
F: 0.104 0.604 0.207 x8
F: 0.148 0.352 0.000 x4

Largest 8 diffraction maxima, in order of rising 2θ, 2θ = 10–90°:
2theta	d/Å	I (rel.)
26.35	3.383	100
28.53	3.128	16
30.03	2.976	26
30.76	2.907	40
34.49	2.600	32
38.94	2.313	29
43.52	2.079	28
46.37	1.958	17